(1)
The following is a computed powder X-ray diffraction pattern of Ba4Pa3VO12. It was derived from a DFT-relaxed cell (PBE+U, Alexandria), using Cu Ka.
Intensities are scaled so that the largest is 100.

Structural model:
a b c (Å): 7.646 7.646 7.646
angles (deg): 109.47 109.47 109.47
Element x y z (fractional)
Ba 0.000 0.000 0.500
Ba 0.000 0.500 0.000
Ba 0.500 0.000 0.000
Ba 0.500 0.500 0.500
Pa 0.000 0.500 0.500
Pa 0.500 0.000 0.500
Pa 0.500 0.500 0.000
V 0.000 0.000 0.000
O 0.000 0.255 0.255
O 0.000 0.745 0.745
O 0.250 0.500 0.750
O 0.250 0.750 0.500
O 0.255 0.000 0.255
O 0.255 0.255 0.000
O 0.500 0.250 0.750
O 0.500 0.750 0.250
O 0.745 0.000 0.745
O 0.745 0.745 0.000
O 0.750 0.250 0.500
O 0.750 0.500 0.250

Most intense lines, 2θ = 10–90°, most intense first:
| two_theta | I (rel.) |
| --- | --- |
| 28.60 | 100 |
| 50.66 | 42 |
| 40.89 | 29 |
| 81.61 | 22 |
| 67.05 | 19 |
| 59.20 | 19 |
| 14.19 | 11 |
| 24.70 | 6 |

---

(2)
The following is a computed powder X-ray diffraction pattern of BaPaV2O8. It was derived from a DFT-relaxed cell (PBE+U, Alexandria), using Cu Ka.
Intensities are scaled so that the largest is 100.

Structural model:
a b c (Å): 5.828 5.828 7.592
angles (deg): 90.00 90.00 120.00
Element x y z (fractional)
Ba 0.000 0.000 0.000
Pa 0.000 0.000 0.500
V 0.333 0.667 0.236
V 0.667 0.333 0.764
O 0.165 0.329 0.313
O 0.165 0.835 0.313
O 0.329 0.165 0.687
O 0.333 0.667 0.015
O 0.667 0.333 0.985
O 0.671 0.835 0.313
O 0.835 0.165 0.687
O 0.835 0.671 0.687

Most intense lines, 2θ = 10–90°, most intense first:
| two_theta | I (rel.) |
| --- | --- |
| 17.57 | 100 |
| 29.44 | 88 |
| 30.68 | 59 |
| 21.14 | 42 |
| 43.04 | 41 |
| 53.78 | 34 |
| 38.97 | 29 |
| 57.99 | 21 |

---

Please write out number 1 again, unchanged.
The following is a computed powder X-ray diffraction pattern of Ba4Pa3VO12. It was derived from a DFT-relaxed cell (PBE+U, Alexandria), using Cu Ka.
Intensities are scaled so that the largest is 100.

Structural model:
a b c (Å): 7.646 7.646 7.646
angles (deg): 109.47 109.47 109.47
Element x y z (fractional)
Ba 0.000 0.000 0.500
Ba 0.000 0.500 0.000
Ba 0.500 0.000 0.000
Ba 0.500 0.500 0.500
Pa 0.000 0.500 0.500
Pa 0.500 0.000 0.500
Pa 0.500 0.500 0.000
V 0.000 0.000 0.000
O 0.000 0.255 0.255
O 0.000 0.745 0.745
O 0.250 0.500 0.750
O 0.250 0.750 0.500
O 0.255 0.000 0.255
O 0.255 0.255 0.000
O 0.500 0.250 0.750
O 0.500 0.750 0.250
O 0.745 0.000 0.745
O 0.745 0.745 0.000
O 0.750 0.250 0.500
O 0.750 0.500 0.250

Most intense lines, 2θ = 10–90°, most intense first:
| two_theta | I (rel.) |
| --- | --- |
| 28.60 | 100 |
| 50.66 | 42 |
| 40.89 | 29 |
| 81.61 | 22 |
| 67.05 | 19 |
| 59.20 | 19 |
| 14.19 | 11 |
| 24.70 | 6 |